# MgPa2H8
Computed powder XRD pattern, Cu Kα, 1.54184 Å. Input: a crystal structure in Alexandria, relaxed with GGA-PBE.

Cell lengths 3.7734, 4.7774, 11.1035 Å; angles 90.00, 90.00, 90.00 degrees
Space group Immm (No. 71)
Inequivalent atoms, fractional coordinates:
Mg 0.0000 0.0000 0.0000
Pa 0.0000 0.0000 0.3288
H 0.0000 0.2432 0.1506
H 0.0000 0.2475 0.5000
H 0.0000 0.5000 0.3066

Most intense lines, 15 to 90 degrees two-theta, by angle:
d (Å)	I (rel.)
5.552	490
4.388	404
2.961	1000
2.926	962
2.642	724
2.613	306
2.389	277
1.772	480
1.586	325
1.569	309

---

# Mg2H6Pb
Computed powder XRD pattern, Cu Kα, 1.54184 Å. Input: a crystal structure in Alexandria, relaxed with GGA-PBE.

Cell lengths 7.3823, 7.3823, 7.3823 Å; angles 90.00, 90.00, 90.00 degrees
Space group Fm-3m (No. 225)
Inequivalent atoms, fractional coordinates:
Mg 0.2500 0.2500 0.2500
H 0.0000 0.0000 0.2150
Pb 0.0000 0.0000 0.5000

Most intense lines, 15 to 90 degrees two-theta, by angle:
d (Å)	I (rel.)
4.262	1000
3.691	315
2.610	696
2.226	584
1.846	134
1.694	259
1.651	137
1.507	264
1.421	191
1.248	191

---

# Mg4SnHPb
Computed powder XRD pattern, Cu Kα, 1.54184 Å. Input: a crystal structure in Alexandria, relaxed with GGA-PBE.

Cell lengths 6.3651, 14.8011, 6.2691 Å; angles 90.00, 90.00, 90.00 degrees
Space group Cmcm (No. 63)
Inequivalent atoms, fractional coordinates:
Mg 0.0000 0.0849 0.2500
Mg 0.0000 0.4074 0.2500
Mg 0.2500 0.2500 0.0000
Sn 0.0000 0.1131 0.7500
H 0.0000 0.2527 0.2500
Pb 0.0000 0.3926 0.7500

Most intense lines, 15 to 90 degrees two-theta, by angle:
d (Å)	I (rel.)
4.276	1000
3.700	440
3.311	965
3.183	444
3.135	404
2.467	263
2.413	548
2.392	535
2.233	556
1.912	614

---

# Sr2MgH2Pb2
Computed powder XRD pattern, Cu Kα, 1.54184 Å. Input: a crystal structure in Alexandria, relaxed with GGA-PBE.

Cell lengths 4.3227, 4.3227, 17.7418 Å; angles 90.00, 90.00, 90.00 degrees
Space group I4/mmm (No. 139)
Inequivalent atoms, fractional coordinates:
Sr 0.0000 0.0000 0.1022
Mg 0.0000 0.0000 0.5000
H 0.0000 0.5000 0.0000
Pb 0.0000 0.0000 0.2920

Most intense lines, 15 to 90 degrees two-theta, by angle:
d (Å)	I (rel.)
3.490	211
3.057	687
2.890	251
2.743	1000
2.186	163
2.161	269
1.698	485
1.534	152
1.367	125
1.136	138

---

# MgHPd5
Computed powder XRD pattern, Cu Kα, 1.54184 Å. Input: a crystal structure in Alexandria, relaxed with GGA-PBE.

Cell lengths 3.8675, 3.8675, 6.6723 Å; angles 90.00, 90.00, 90.00 degrees
Space group P4/mmm (No. 123)
Inequivalent atoms, fractional coordinates:
Mg 0.0000 0.0000 0.0000
H 0.5000 0.5000 0.5000
Pd 0.0000 0.5000 0.3021
Pd 0.5000 0.5000 0.0000

Most intense lines, 15 to 90 degrees two-theta, by angle:
d (Å)	I (rel.)
3.340	273
2.735	408
2.530	600
2.224	309
2.115	1000
1.934	534
1.459	316
1.367	167
1.199	214
1.148	269

---

# MgH12Pd7
Computed powder XRD pattern, Cu Kα, 1.54184 Å. Input: a crystal structure in Alexandria, relaxed with GGA-PBE.

Cell lengths 5.5617, 5.6013, 5.6147 Å; angles 88.48, 88.21, 88.23 degrees
Space group P-1 (No. 2)
Inequivalent atoms, fractional coordinates:
Mg 0.0000 0.0000 0.0000
H 0.0697 0.3618 0.8680
H 0.1309 0.9332 0.6386
H 0.1873 0.5407 0.4137
H 0.3656 0.8644 0.0669
H 0.4151 0.1891 0.5445
H 0.4567 0.5866 0.8109
Pd 0.0701 0.2394 0.5445
Pd 0.2406 0.5466 0.0701
Pd 0.4592 0.9299 0.7595
Pd 0.5000 0.5000 0.5000

Most intense lines, 15 to 90 degrees two-theta, by angle:
d (Å)	I (rel.)
3.323	349
3.196	651
2.532	777
2.520	368
2.480	553
2.473	545
2.460	553
2.341	277
2.278	499
2.267	1000

---

# MgH8Pd6
Computed powder XRD pattern, Cu Kα, 1.54184 Å. Input: a crystal structure in Alexandria, relaxed with GGA-PBE.

Cell lengths 5.6295, 5.6295, 15.0552 Å; angles 90.00, 90.00, 120.00 degrees
Space group R-3 (No. 148, hexagonal axes)
Inequivalent atoms, fractional coordinates:
Mg 0.0000 0.0000 0.0000
H 0.0000 0.0000 0.2974
H 0.0373 0.4275 0.7865
Pd 0.0041 0.4187 0.9116

Most intense lines, 15 to 90 degrees two-theta, by angle:
d (Å)	I (rel.)
4.638	174
2.815	265
2.509	413
2.455	1000
2.406	444
1.895	199
1.873	241
1.438	179
1.331	197
1.273	159

---

# MgHPd3
Computed powder XRD pattern, Cu Kα, 1.54184 Å. Input: a crystal structure in Alexandria, relaxed with GGA-PBE.

Cell lengths 5.7221, 3.9650, 6.4238 Å; angles 90.00, 116.43, 90.00 degrees
Space group P2/m (No. 10)
Inequivalent atoms, fractional coordinates:
Mg 0.1346 0.0000 0.2674
H 0.3644 0.5000 0.7290
Pd 0.0000 0.5000 0.5000
Pd 0.2418 0.5000 0.9996
Pd 0.3747 0.0000 0.7500
Pd 0.5000 0.5000 0.5000

Most intense lines, 15 to 90 degrees two-theta, by angle:
d (Å)	I (rel.)
5.123	192
3.136	153
2.328	1000
2.320	990
2.028	666
1.983	312
1.418	406
1.222	242
1.219	240
1.200	231

---

# MgH7Pd5
Computed powder XRD pattern, Cu Kα, 1.54184 Å. Input: a crystal structure in Alexandria, relaxed with GGA-PBE.

Cell lengths 4.2619, 5.2595, 11.9340 Å; angles 82.83, 81.02, 66.87 degrees
Space group P1 (No. 1)
Inequivalent atoms, fractional coordinates:
Mg 0.0000 0.0000 0.0000
Mg 0.0189 0.4952 0.4690
H 0.1016 0.3702 0.0279
H 0.1016 0.5849 0.7792
H 0.1160 0.0293 0.2672
H 0.2660 0.3783 0.6111
H 0.2943 0.1420 0.8562
H 0.3176 0.5989 0.3344
H 0.4455 0.9362 0.6948
H 0.4935 0.6834 0.9427
H 0.5477 0.8113 0.5205
H 0.7049 0.8912 0.1346
H 0.7494 0.3372 0.6312
H 0.7742 0.1500 0.8461
H 0.9037 0.4610 0.2024
H 0.9294 0.1325 0.4447
Pd 0.0114 0.7447 0.2343
Pd 0.0316 0.2590 0.7354
Pd 0.3271 0.1868 0.1482
Pd 0.3525 0.6624 0.6465
Pd 0.3566 0.8947 0.3943
Pd 0.3674 0.4199 0.9051
Pd 0.6658 0.0789 0.5670
Pd 0.6664 0.5972 0.0741
Pd 0.6907 0.8492 0.8235
Pd 0.6976 0.3051 0.3225

Most intense lines, 15 to 90 degrees two-theta, by angle:
d (Å)	I (rel.)
2.530	831
2.504	783
2.490	767
2.458	735
2.177	1000
2.130	473
1.553	173
1.542	170
1.526	317
1.521	159

---

# MgH4Pd2
Computed powder XRD pattern, Cu Kα, 1.54184 Å. Input: a crystal structure in Alexandria, relaxed with GGA-PBE.

Cell lengths 5.0910, 8.5307, 6.4100 Å; angles 90.00, 113.10, 90.00 degrees
Space group Cc (No. 9)
Inequivalent atoms, fractional coordinates:
Mg 0.0000 0.1250 0.0000
H 0.1503 0.4449 0.8416
H 0.1703 0.0585 0.3584
H 0.3058 0.1934 0.6622
H 0.3097 0.3068 0.1430
Pd 0.0262 0.4503 0.0723
Pd 0.4558 0.2994 0.9299

Most intense lines, 15 to 90 degrees two-theta, by angle:
d (Å)	I (rel.)
4.099	369
3.456	296
2.948	300
2.929	201
2.916	201
2.428	1000
2.341	293
2.333	288
2.101	170
1.446	247

---

# Mg2H3Pd9
Computed powder XRD pattern, Cu Kα, 1.54184 Å. Input: a crystal structure in Alexandria, relaxed with GGA-PBE.

Cell lengths 6.7801, 7.3161, 9.2748 Å; angles 109.72, 93.83, 116.95 degrees
Space group P1 (No. 1)
Inequivalent atoms, fractional coordinates:
Mg 0.0000 0.0000 0.0000
Mg 0.0937 0.8740 0.4168
Mg 0.4986 0.2463 0.9593
Mg 0.5930 0.1271 0.3693
H 0.0701 0.5814 0.6050
H 0.0746 0.5025 0.1149
H 0.2151 0.0677 0.2299
H 0.5169 0.6303 0.2555
H 0.5222 0.5462 0.7706
H 0.7974 0.0603 0.6839
Pd 0.0971 0.0562 0.7236
Pd 0.1703 0.7878 0.1172
Pd 0.2207 0.7926 0.8135
Pd 0.2492 0.6053 0.4758
Pd 0.3430 0.5201 0.9000
Pd 0.3741 0.3350 0.5632
Pd 0.4294 0.3488 0.2592
Pd 0.4967 0.0706 0.6503
Pd 0.6014 0.9792 0.0631
Pd 0.6340 0.8176 0.7451
Pd 0.6839 0.8427 0.4475
Pd 0.7169 0.6853 0.1398
Pd 0.7741 0.5438 0.8341
Pd 0.8185 0.5830 0.5398
Pd 0.8760 0.4341 0.2329
Pd 0.9081 0.2848 0.9256
Pd 0.9587 0.3095 0.6279
Pd 0.9970 0.1418 0.3105

Most intense lines, 15 to 90 degrees two-theta, by angle:
d (Å)	I (rel.)
2.609	236
2.411	505
2.354	1000
2.251	278
2.212	758
2.210	716
2.170	361
2.154	610
2.132	595
2.043	298

---

# MgH5Pd5
Computed powder XRD pattern, Cu Kα, 1.54184 Å. Input: a crystal structure in Alexandria, relaxed with GGA-PBE.

Cell lengths 5.0240, 5.1566, 5.4603 Å; angles 66.02, 64.83, 63.53 degrees
Space group P1 (No. 1)
Inequivalent atoms, fractional coordinates:
Mg 0.0000 0.0000 0.0000
H 0.0520 0.5246 0.1650
H 0.0822 0.7146 0.6781
H 0.2976 0.1123 0.3594
H 0.5268 0.9628 0.7740
H 0.5693 0.4744 0.3846
Pd 0.1775 0.4726 0.4667
Pd 0.3772 0.2596 0.9871
Pd 0.5121 0.7675 0.5439
Pd 0.7380 0.6173 0.0070
Pd 0.8628 0.1039 0.5054

Most intense lines, 15 to 90 degrees two-theta, by angle:
d (Å)	I (rel.)
2.678	158
2.568	175
2.508	324
2.381	626
2.360	508
2.310	1000
2.244	319
2.213	402
2.195	293
1.537	155